[1]
For Na4LiAu4, DFT lattice parameters and positions (PBE) gives the computed powder XRD pattern in this record (CuKα).
Lines closer than 0.1° are merged.

Atomic structure:
```
data_Na4LiAu4
_cell_length_a 5.6432
_cell_length_b 5.6618
_cell_length_c 12.5366
_cell_angle_alpha 90.00
_cell_angle_beta 90.00
_cell_angle_gamma 90.00
_symmetry_space_group_name_H-M 'I 2 2 2'
_symmetry_Int_Tables_number 23
loop_
_symmetry_equiv_pos_as_xyz
'x,y,z'
'-x,-y,z'
'x,-y,-z'
'-x,y,-z'
'x+1/2,y+1/2,z+1/2'
'-x+1/2,-y+1/2,z+1/2'
'x+1/2,-y+1/2,-z+1/2'
'-x+1/2,y+1/2,-z+1/2'
loop_
_atom_site_label
_atom_site_fract_x
_atom_site_fract_y
_atom_site_fract_z
_atom_site_occupancy
Na1 0.2231 0.2207 0.1753 1
Li1 0.0000 0.0000 0.0000 1
Au1 0.1984 0.1963 0.4222 1
```

Largest 6 diffraction maxima, in order of falling intensity, 2θ = 10–90°:
d = 3.370 Å, 26.45°, I = 100.0; d = 2.466 Å, 36.43°, I = 94.0; d = 6.268 Å, 14.13°, I = 59.6; d = 2.163 Å, 41.76°, I = 47.8; d = 5.153 Å, 17.21°, I = 46.9; d = 2.822 Å, 31.71°, I = 31.3


[2]
For NaLiAu3, DFT lattice parameters and positions (PBE) gives the computed powder XRD pattern in this record (CuKα).
Lines closer than 0.1° are merged.

Atomic structure:
```
data_NaLiAu3
_cell_length_a 4.0000
_cell_length_b 4.0000
_cell_length_c 12.7373
_cell_angle_alpha 90.00
_cell_angle_beta 90.00
_cell_angle_gamma 90.00
_symmetry_space_group_name_H-M 'I 4 m m'
_symmetry_Int_Tables_number 107
_symmetry_space_group_name_Hall 'I 4 -2'
loop_
_atom_site_label
_atom_site_fract_x
_atom_site_fract_y
_atom_site_fract_z
_atom_site_occupancy
Na1 0.0000 0.0000 0.0000 1
Li1 0.0000 0.0000 0.6182 1
Au1 0.0000 0.0000 0.4192 1
Au2 0.0000 0.5000 0.2523 1
```

Largest 6 diffraction maxima, in order of falling intensity, 2θ = 10–90°:
d = 2.585 Å, 34.70°, I = 100.0; d = 6.369 Å, 13.91°, I = 72.0; d = 2.115 Å, 42.76°, I = 48.4; d = 2.000 Å, 45.34°, I = 31.1; d = 3.816 Å, 23.31°, I = 28.5; d = 1.241 Å, 76.83°, I = 20.7